# Pm3Nd2Pb2
Computed PXRD pattern, Cu Kα, 1.54184 Å. Input: a crystal structure in Alexandria, relaxed with GGA-PBE.
Kinematic intensities with the Lorentz-polarization factor, no thermal factor.

Most intense lines, 10 to 80 degrees two-theta, sorted by position:
2θ/deg	I (rel.)
29.23	34
29.61	31
30.41	73
32.41	41
32.81	36
33.35	100
36.08	62
54.91	29

Cell and atoms:
Lattice parameters (Å, degrees): 17.2276 3.6021 8.2635 90.00 116.13 90.00
Space group C2/m (No. 12)
Asymmetric unit:
1 Pm 0.0000 0.0000 0.0000 (multiplicity 2)
2 Pm 0.2119 0.0000 0.1421 (multiplicity 4)
3 Nd 0.1220 0.0000 0.4726 (multiplicity 4)
4 Pb 0.0774 0.5000 0.7650 (multiplicity 4)

=====

# PmNd2Pb3
Computed PXRD pattern, Cu Kα, 1.54184 Å. Input: a crystal structure in Alexandria, relaxed with GGA-PBE.
Kinematic intensities with the Lorentz-polarization factor, no thermal factor.

Most intense lines, 10 to 80 degrees two-theta, sorted by position:
2θ/deg	I (rel.)
29.42	100
30.60	45
33.50	72
36.58	28
41.76	20
48.41	26
50.96	22
56.70	16

Cell and atoms:
Lattice parameters (Å, degrees): 9.6245 14.7387 5.9617 90.00 115.97 90.00
Space group C2/c (No. 15)
Asymmetric unit:
1 Pm 0.0000 0.0836 0.2500 (multiplicity 4)
2 Nd 0.0000 0.2503 0.7500 (multiplicity 4)
3 Nd 0.0000 0.4167 0.2500 (multiplicity 4)
4 Pb 0.2488 0.0828 0.0017 (multiplicity 8)
5 Pb 0.2500 0.2500 0.5000 (multiplicity 4)

=====

# PmNd4Pb
Computed PXRD pattern, Cu Kα, 1.54184 Å. Input: a crystal structure in Alexandria, relaxed with GGA-PBE.
Kinematic intensities with the Lorentz-polarization factor, no thermal factor.

Most intense lines, 10 to 80 degrees two-theta, sorted by position:
2θ/deg	I (rel.)
15.00	81
27.87	28
29.90	82
30.27	100
35.33	51
41.61	26
43.06	56
43.33	36

Cell and atoms:
Lattice parameters (Å, degrees): 11.8112 11.8112 6.9306 90.00 90.00 90.00
Space group I4_1md (No. 109)
Asymmetric unit:
1 Pm 0.0000 0.0000 0.0000 (multiplicity 4)
2 Nd 0.0000 0.2610 0.5526 (multiplicity 8)
3 Nd 0.0000 0.2698 0.0454 (multiplicity 8)
4 Pb 0.0000 0.0000 0.5083 (multiplicity 4)

=====

# Pm6NdPb6
Computed PXRD pattern, Cu Kα, 1.54184 Å. Input: a crystal structure in Alexandria, relaxed with GGA-PBE.
Kinematic intensities with the Lorentz-polarization factor, no thermal factor.

Most intense lines, 10 to 80 degrees two-theta, sorted by position:
2θ/deg	I (rel.)
24.03	76
27.81	49
30.66	82
33.77	100
46.62	26
49.20	50
63.85	23
64.23	25

Cell and atoms:
Lattice parameters (Å, degrees): 7.4073 7.4073 9.4552 90.00 90.00 120.00
Space group P6/mmm (No. 191)
Asymmetric unit:
1 Pm 0.0000 0.5000 0.2475 (multiplicity 6)
2 Nd 0.0000 0.0000 0.5000 (multiplicity 1)
3 Pb 0.0000 0.0000 0.1635 (multiplicity 2)
4 Pb 0.3333 0.6667 0.0000 (multiplicity 2)
5 Pb 0.3333 0.6667 0.5000 (multiplicity 2)

=====

# Pm6Nd12Pb
Computed PXRD pattern, Cu Kα, 1.54184 Å. Input: a crystal structure in Alexandria, relaxed with GGA-PBE.
Kinematic intensities with the Lorentz-polarization factor, no thermal factor.

Most intense lines, 10 to 80 degrees two-theta, sorted by position:
2θ/deg	I (rel.)
28.48	23
31.03	100
31.67	61
33.89	18
35.33	11
48.10	17
55.99	22
60.23	11

Cell and atoms:
Lattice parameters (Å, degrees): 13.3677 13.3677 13.0210 90.00 90.00 120.00
Space group R-3 (No. 148, hexagonal axes)
Asymmetric unit:
1 Pm 0.0902 0.9092 0.2744 (multiplicity 18)
2 Nd 0.9996 0.2590 0.4999 (multiplicity 18)
3 Nd 0.0612 0.5306 0.6108 (multiplicity 18)
4 Pb 0.0000 0.0000 0.5000 (multiplicity 3)

=====

# PmNd3Pb2
Computed PXRD pattern, Cu Kα, 1.54184 Å. Input: a crystal structure in Alexandria, relaxed with GGA-PBE.
Kinematic intensities with the Lorentz-polarization factor, no thermal factor.

Most intense lines, 10 to 80 degrees two-theta, sorted by position:
2θ/deg	I (rel.)
26.91	25
28.74	77
29.97	38
33.67	100
35.70	25
38.43	59
49.48	38
66.48	29

Cell and atoms:
Lattice parameters (Å, degrees): 4.6851 4.6851 8.9445 90.00 90.00 90.00
Space group P-4m2 (No. 115)
Asymmetric unit:
1 Pm 0.0000 0.0000 0.0000 (multiplicity 1)
2 Nd 0.0000 0.5000 0.3478 (multiplicity 2)
3 Nd 0.5000 0.5000 0.0000 (multiplicity 1)
4 Pb 0.0000 0.5000 0.7167 (multiplicity 2)